The following is a computed powder XRD pattern of Li3MnP2O6F4. It was derived from a structure optimized by DFT (GGA+U), using Cu Kα X-rays.

Cell and atoms:
```
data_Li3MnP2O6F4
_chemical_formula_sum 'Li6 Mn2 P4 O12 F8'
_cell_length_a 6.454
_cell_length_b 7.460
_cell_length_c 7.794
_cell_angle_alpha 90.00
_cell_angle_beta 91.07
_cell_angle_gamma 90.00
_symmetry_space_group_name_H-M 'P 1 21/c 1'
_symmetry_Int_Tables_number 14
loop_
_symmetry_equiv_pos_as_xyz
'x,y,z'
'-x,-y,-z'
'-x,y+1/2,-z+1/2'
'x,-y+1/2,z+1/2'
loop_
_atom_site_label
_atom_site_fract_x
_atom_site_fract_y
_atom_site_fract_z
Li1 0.000 0.000 0.000
Li2 0.241 0.238 0.678
Mn1 0.500 0.000 0.000
P1 0.248 0.661 0.857
O1 0.051 0.735 0.376
O2 0.264 0.541 0.699
O3 0.449 0.726 0.380
F1 0.262 0.525 0.016
F2 0.267 0.115 0.892
```

Top 10 peaks for 2θ = 10–80°, sorted by position:
2θ/deg  I (rel.)  h k l
13.72  57  1 0 0
16.45  35  0 1 1
18.18  51  1 1 0
21.62  82  1 1 1
25.80  65  0 1 2
26.50  100  1 0 -2
27.63  34  2 0 0
32.15  34  2 1 -1
32.53  32  2 1 1
36.30  32  1 2 2